# CdHg2
Theoretical PXRD pattern, λ = 1.5418 Å (Cu Kα). Input: the PBE geometry in the Materials Project.

Structural model:
abc: 5.349 5.349 5.349
angles: 134.86 134.86 65.75
Atoms (fractional coordinates):
Cd1 0.000 0.000 0.000
Hg1 0.333 0.333 0.000
Hg2 0.667 0.667 0.000

The 6 most intense peaks (2θ = 15–90°), in order of rising 2θ:
| 2θ (°) | intensity |
| --- | --- |
| 30.8 | 82 |
| 37.2 | 100 |
| 44.1 | 31 |
| 59.0 | 52 |
| 70.8 | 15 |
| 72.9 | 14 |